(1)
This entry pairs a crystal structure of LiFePH2O5 with its theoretical X-ray powder pattern. Radiation: CuKα. Structure: a DFT-relaxed cell (PBE+U, Alexandria).
Neutral-atom scattering factors, no anomalous dispersion.

Structural model:
```
LiFePH2O5
1.0
5.629 0.000 0.000
0.000 4.880 0.000
-1.811 0.000 8.180
Li Fe P H O
2 2 2 4 10
Direct
0.041 0.000 0.390
0.959 0.500 0.610
0.263 0.417 0.022
0.737 0.917 0.978
0.171 0.009 0.782
0.829 0.509 0.218
0.275 0.922 0.190
0.493 0.596 0.738
0.507 0.096 0.262
0.725 0.422 0.810
0.019 0.623 0.121
0.106 0.126 0.609
0.190 0.693 0.787
0.326 0.101 0.240
0.417 0.134 0.883
0.583 0.634 0.117
0.674 0.601 0.760
0.810 0.193 0.213
0.894 0.626 0.391
0.981 0.123 0.879
```

Largest 10 diffraction maxima, by angle, 2θ = 15–90°:
| (hkl) | 2theta | Rel. int. |
| --- | --- | --- |
| 1 0 -1 | 17.4 | 57 |
| 0 1 1 | 21.2 | 49 |
| 1 1 0 | 24.4 | 35 |
| 1 1 -1 | 25.3 | 37 |
| 1 1 1 | 28.2 | 100 |
| 1 1 -2 | 30.4 | 96 |
| 2 0 -1 | 32.0 | 65 |
| 1 1 2 | 35.2 | 82 |
| 1 1 -3 | 38.3 | 55 |
| 2 0 -5 | 59.2 | 30 |


(2)
This entry pairs a crystal structure of Li2Fe2P4H3O16 with its theoretical X-ray powder pattern. Radiation: CuKα. Structure: a DFT-relaxed cell (PBE+U, Alexandria).
Neutral-atom scattering factors, no anomalous dispersion.

Structural model:
```
Li2Fe2P4H3O16
1.0
4.984 0.000 0.000
1.802 7.173 0.000
0.307 -0.013 8.268
Li Fe P H O
2 2 4 3 16
Direct
0.000 0.000 0.000
0.301 0.653 0.319
0.153 0.828 0.661
0.658 0.331 0.158
0.051 0.597 0.005
0.258 0.073 0.316
0.527 0.092 0.818
0.779 0.567 0.503
0.328 0.391 0.757
0.609 0.852 0.179
0.970 0.269 0.565
0.010 0.675 0.488
0.012 0.136 0.202
0.149 0.039 0.487
0.160 0.619 0.829
0.298 0.983 0.833
0.306 0.522 0.113
0.421 0.268 0.707
0.428 0.876 0.249
0.433 0.216 0.316
0.522 0.691 0.585
0.599 0.155 0.984
0.709 0.504 0.336
0.785 0.971 0.733
0.881 0.393 0.615
0.884 0.782 0.075
0.889 0.443 0.004
```

Largest 10 diffraction maxima, by angle, 2θ = 15–90°:
| (hkl) | 2theta | Rel. int. |
| --- | --- | --- |
| 0 1 -1 | 16.4 | 100 |
| 1 1 1 | 22.0 | 35 |
| 1 1 -1 | 22.6 | 42 |
| 1 -1 0 | 24.6 | 90 |
| 0 1 2 | 24.9 | 71 |
| 1 0 2 | 27.9 | 28 |
| 1 1 2 | 28.7 | 22 |
| 1 2 1 | 29.0 | 63 |
| 1 2 -1 | 29.5 | 38 |
| 0 2 -2 | 33.1 | 59 |


(3)
This entry pairs a crystal structure of Li3Fe2P4HO14 with its theoretical X-ray powder pattern. Radiation: CuKα. Structure: a DFT-relaxed cell (PBE+U, Alexandria).
Neutral-atom scattering factors, no anomalous dispersion.

Structural model:
```
Li3Fe2P4HO14
1.0
5.056 0.000 0.000
2.376 4.604 0.000
0.755 -0.002 12.577
Li Fe P H O
3 2 4 1 14
Direct
0.000 0.000 0.000
0.496 0.326 0.419
0.504 0.674 0.581
0.101 0.071 0.247
0.899 0.929 0.753
0.167 0.312 0.651
0.373 0.363 0.870
0.627 0.637 0.130
0.833 0.688 0.349
0.000 0.500 0.000
0.120 0.043 0.632
0.129 0.414 0.322
0.193 0.287 0.957
0.243 0.690 0.853
0.291 0.803 0.117
0.362 0.213 0.758
0.368 0.360 0.568
0.632 0.640 0.432
0.638 0.787 0.242
0.709 0.197 0.883
0.757 0.310 0.147
0.807 0.713 0.043
0.871 0.586 0.678
0.880 0.957 0.368
```

Largest 10 diffraction maxima, by angle, 2θ = 15–90°:
| (hkl) | 2theta | Rel. int. |
| --- | --- | --- |
| 1 1 1 | 21.2 | 36 |
| 1 1 -1 | 21.9 | 100 |
| 0 1 -2 | 24.0 | 40 |
| 1 1 2 | 24.2 | 37 |
| 1 0 3 | 28.4 | 91 |
| 0 1 3 | 28.8 | 45 |
| 1 1 -3 | 30.3 | 37 |
| 1 -1 0 | 33.7 | 50 |
| 0 1 4 | 34.5 | 34 |
| 2 0 1 | 40.5 | 34 |